The following is a theoretical XRD peak list of Ho6Pb3C2. It was derived from a DFT-relaxed cell (GGA-PBE, Alexandria), using a wavelength of 1.5418 Å.

Top 10 peaks for 10 to 80 degrees two-theta, by angle:
Position (°2θ)  intensity
18.87  132
27.29  348
28.47  123
30.00  171
34.08  1000
37.58  524
47.81  121
52.88  146
54.20  184
65.61  408

Structural model:
a = 12.9891 Å, b = 12.9891 Å, c = 12.9891 Å
α = 158.77°, β = 158.77°, γ = 30.21°
Sites, in units of the cell vectors:
Ho  0.0843  0.5843  0.5000
Ho  0.1933  0.1933  0.0000
Ho  0.4157  0.9157  0.5000
Ho  0.5843  0.0843  0.5000
Ho  0.8067  0.8067  0.0000
Ho  0.9157  0.4157  0.5000
Pb  0.3211  0.3211  0.0000
Pb  0.5000  0.5000  0.0000
Pb  0.6789  0.6789  0.0000
C  0.1030  0.1030  0.0000
C  0.8970  0.8970  0.0000